# 1
This entry pairs a crystal structure of Dy2Tm2Sc5 with its simulated XRD peak list. Radiation: Cu Kα (λ = 1.5418 Å). Structure: a cell relaxed with PBE.

Most intense lines, 5 to 70 degrees two-theta, low angle first:
| d (Å) | 2θ/deg | I (rel.) |
| --- | --- | --- |
| 6.738 | 13.14 | 74 |
| 5.215 | 17.00 | 45 |
| 3.881 | 22.91 | 45 |
| 3.205 | 27.84 | 56 |
| 2.911 | 30.72 | 85 |
| 2.729 | 32.82 | 100 |
| 2.682 | 33.41 | 44 |
| 2.665 | 33.63 | 52 |
| 2.651 | 33.81 | 100 |
| 2.594 | 34.58 | 83 |

Cell and atoms:
abc: 8.8350 8.8350 8.8350
angles: 97.74 124.20 107.65
Fractional coordinates of all 18 atoms:
Dy1 0.0000 0.0000 0.0000
Dy2 0.0000 0.5000 0.5000
Dy3 0.0178 0.8734 0.6444
Dy4 0.2290 0.3734 0.3556
Tm1 0.3061 0.0395 0.4793
Tm2 0.3061 0.3268 0.7666
Tm3 0.5601 0.5395 0.2334
Tm4 0.5601 0.8268 0.5207
Sc1 0.0532 0.3448 0.9072
Sc2 0.0532 0.6461 0.2084
Sc3 0.2911 0.7542 0.0369
Sc4 0.4377 0.1461 0.0928
Sc5 0.4377 0.8448 0.7916
Sc6 0.6731 0.3616 0.5619
Sc7 0.6731 0.6113 0.8115
Sc8 0.7174 0.2542 0.9631
Sc9 0.7997 0.1113 0.4381
Sc10 0.7997 0.8616 0.1885

***

# 2
This entry pairs a crystal structure of DyTm7Sc2 with its simulated XRD peak list. Radiation: Cu Kα (λ = 1.5418 Å). Structure: a cell relaxed with PBE.

Most intense lines, 5 to 70 degrees two-theta, low angle first:
| d (Å) | 2θ/deg | I (rel.) |
| --- | --- | --- |
| 5.493 | 16.13 | 24 |
| 4.434 | 20.02 | 23 |
| 3.402 | 26.19 | 54 |
| 3.102 | 28.78 | 60 |
| 2.838 | 31.52 | 73 |
| 2.747 | 32.60 | 46 |
| 2.521 | 35.61 | 100 |
| 1.974 | 45.98 | 51 |
| 1.646 | 55.87 | 22 |
| 1.539 | 60.14 | 22 |

Cell and atoms:
abc: 8.6770 8.6770 5.4933
angles: 90.00 90.00 120.13
Fractional coordinates of all 10 atoms:
Dy1 0.0000 0.0000 0.0000
Tm1 0.0608 0.2996 0.5000
Tm2 0.2351 0.7649 0.0000
Tm3 0.2996 0.0608 0.5000
Tm4 0.5000 0.5000 0.5000
Tm5 0.7004 0.9392 0.5000
Tm6 0.7649 0.2351 0.0000
Tm7 0.9392 0.7004 0.5000
Sc1 0.2949 0.7051 0.5000
Sc2 0.7051 0.2949 0.5000

***

# 3
This entry pairs a crystal structure of Dy4Tm3Sc3 with its simulated XRD peak list. Radiation: Cu Kα (λ = 1.5418 Å). Structure: a cell relaxed with PBE.

Most intense lines, 5 to 70 degrees two-theta, low angle first:
| d (Å) | 2θ/deg | I (rel.) |
| --- | --- | --- |
| 3.610 | 24.66 | 25 |
| 2.842 | 31.47 | 42 |
| 2.829 | 31.62 | 41 |
| 2.812 | 31.82 | 26 |
| 2.684 | 33.39 | 100 |
| 2.233 | 40.39 | 18 |
| 2.227 | 40.51 | 17 |
| 1.805 | 50.56 | 13 |
| 1.579 | 58.44 | 13 |
| 1.523 | 60.83 | 25 |

Cell and atoms:
abc: 3.6105 8.9682 8.9682
angles: 89.56 90.00 90.00
Fractional coordinates of all 10 atoms:
Dy1 0.0000 0.0000 0.0000
Dy2 0.0000 0.2566 0.2566
Dy3 0.0000 0.4888 0.7520
Dy4 0.0000 0.7520 0.4888
Tm1 0.0000 0.1256 0.6243
Tm2 0.0000 0.6243 0.1256
Tm3 0.5000 0.7939 0.7939
Sc1 0.5000 0.2945 0.9577
Sc2 0.5000 0.4558 0.4558
Sc3 0.5000 0.9577 0.2945

***

# 4
This entry pairs a crystal structure of Dy16Tm7Sc6 with its simulated XRD peak list. Radiation: Cu Kα (λ = 1.5418 Å). Structure: a cell relaxed with PBE.

Most intense lines, 5 to 70 degrees two-theta, low angle first:
| d (Å) | 2θ/deg | I (rel.) |
| --- | --- | --- |
| 8.895 | 9.94 | 7 |
| 7.704 | 11.49 | 5 |
| 4.448 | 19.96 | 13 |
| 3.852 | 23.09 | 8 |
| 2.724 | 32.88 | 100 |
| 2.604 | 34.44 | 5 |
| 2.323 | 38.77 | 8 |
| 1.926 | 47.19 | 16 |
| 1.572 | 58.71 | 30 |
| 1.362 | 68.96 | 8 |

Cell and atoms:
abc: 10.8945 10.8945 10.8945
angles: 60.00 60.00 60.00
Fractional coordinates of all 29 atoms:
Dy1 0.0701 0.6433 0.6433
Dy2 0.1243 0.1243 0.1243
Dy3 0.1243 0.1243 0.6270
Dy4 0.1243 0.6270 0.1243
Dy5 0.3567 0.3567 0.3567
Dy6 0.3567 0.3567 0.9299
Dy7 0.3567 0.9299 0.3567
Dy8 0.3730 0.8757 0.8757
Dy9 0.6270 0.1243 0.1243
Dy10 0.6433 0.0701 0.6433
Dy11 0.6433 0.6433 0.0701
Dy12 0.6433 0.6433 0.6433
Dy13 0.8757 0.3730 0.8757
Dy14 0.8757 0.8757 0.3730
Dy15 0.8757 0.8757 0.8757
Dy16 0.9299 0.3567 0.3567
Tm1 0.0000 0.0000 0.0000
Tm2 0.0000 0.0000 0.5000
Tm3 0.0000 0.5000 0.0000
Tm4 0.0000 0.5000 0.5000
Tm5 0.5000 0.0000 0.0000
Tm6 0.5000 0.0000 0.5000
Tm7 0.5000 0.5000 0.0000
Sc1 0.2573 0.2573 0.7427
Sc2 0.2573 0.7427 0.2573
Sc3 0.2573 0.7427 0.7427
Sc4 0.7427 0.2573 0.2573
Sc5 0.7427 0.2573 0.7427
Sc6 0.7427 0.7427 0.2573

***

# 5
This entry pairs a crystal structure of Dy6Tm5Sc2 with its simulated XRD peak list. Radiation: Cu Kα (λ = 1.5418 Å). Structure: a cell relaxed with PBE.

Most intense lines, 5 to 70 degrees two-theta, low angle first:
| d (Å) | 2θ/deg | I (rel.) |
| --- | --- | --- |
| 2.874 | 31.12 | 23 |
| 2.797 | 32.00 | 49 |
| 2.785 | 32.14 | 46 |
| 2.763 | 32.40 | 61 |
| 2.723 | 32.89 | 100 |
| 2.562 | 35.03 | 32 |
| 2.546 | 35.25 | 23 |
| 2.492 | 36.04 | 23 |
| 2.398 | 37.51 | 26 |
| 1.575 | 58.59 | 24 |

Cell and atoms:
abc: 11.2980 19.9468 3.5170
angles: 90.00 90.00 90.00
Fractional coordinates of all 26 atoms:
Dy1 0.0620 0.0825 0.0000
Dy2 0.0884 0.3699 0.0000
Dy3 0.1678 0.6435 0.5000
Dy4 0.3322 0.1435 0.5000
Dy5 0.4116 0.8699 0.0000
Dy6 0.4380 0.5825 0.0000
Dy7 0.5620 0.4175 0.0000
Dy8 0.5884 0.1301 0.0000
Dy9 0.6678 0.8565 0.5000
Dy10 0.8322 0.3565 0.5000
Dy11 0.9116 0.6301 0.0000
Dy12 0.9380 0.9175 0.0000
Tm1 0.0000 0.5000 0.5000
Tm2 0.0840 0.2297 0.5000
Tm3 0.1948 0.9471 0.5000
Tm4 0.3052 0.4471 0.5000
Tm5 0.4160 0.7297 0.5000
Tm6 0.5000 0.0000 0.5000
Tm7 0.5840 0.2703 0.5000
Tm8 0.6948 0.5529 0.5000
Tm9 0.8052 0.0529 0.5000
Tm10 0.9160 0.7703 0.5000
Sc1 0.1680 0.7939 0.0000
Sc2 0.3320 0.2939 0.0000
Sc3 0.6680 0.7061 0.0000
Sc4 0.8320 0.2061 0.0000

***

# 6
This entry pairs a crystal structure of Dy6Tm4Sc with its simulated XRD peak list. Radiation: Cu Kα (λ = 1.5418 Å). Structure: a cell relaxed with PBE.

Most intense lines, 5 to 70 degrees two-theta, low angle first:
| d (Å) | 2θ/deg | I (rel.) |
| --- | --- | --- |
| 2.889 | 30.95 | 93 |
| 2.781 | 32.19 | 53 |
| 2.758 | 32.47 | 100 |
| 2.644 | 33.90 | 61 |
| 2.002 | 45.30 | 25 |
| 1.914 | 47.49 | 13 |
| 1.614 | 57.07 | 15 |
| 1.601 | 57.56 | 20 |
| 1.571 | 58.77 | 11 |
| 1.514 | 61.21 | 12 |

Cell and atoms:
abc: 5.5158 5.5158 25.3636
angles: 90.00 90.00 119.44
Fractional coordinates of all 22 atoms:
Dy1 0.0000 0.0000 0.0000
Dy2 0.0000 0.0000 0.5000
Dy3 0.0115 0.9885 0.7500
Dy4 0.3225 0.6775 0.1057
Dy5 0.3225 0.6775 0.3943
Dy6 0.3451 0.6549 0.6826
Dy7 0.3451 0.6549 0.8174
Dy8 0.6549 0.3451 0.1826
Dy9 0.6549 0.3451 0.3174
Dy10 0.6775 0.3225 0.6057
Dy11 0.6775 0.3225 0.8943
Dy12 0.9885 0.0115 0.2500
Tm1 0.0129 0.9871 0.6219
Tm2 0.0129 0.9871 0.8781
Tm3 0.3377 0.6623 0.5433
Tm4 0.3377 0.6623 0.9567
Tm5 0.6623 0.3377 0.0433
Tm6 0.6623 0.3377 0.4567
Tm7 0.9871 0.0129 0.1219
Tm8 0.9871 0.0129 0.3781
Sc1 0.3225 0.6775 0.2500
Sc2 0.6775 0.3225 0.7500

***

# 7
This entry pairs a crystal structure of Dy8Tm6Sc with its simulated XRD peak list. Radiation: Cu Kα (λ = 1.5418 Å). Structure: a cell relaxed with PBE.

Most intense lines, 5 to 70 degrees two-theta, low angle first:
| d (Å) | 2θ/deg | I (rel.) |
| --- | --- | --- |
| 3.086 | 28.93 | 17 |
| 3.012 | 29.66 | 13 |
| 2.952 | 30.28 | 100 |
| 2.920 | 30.61 | 25 |
| 2.765 | 32.38 | 13 |
| 2.549 | 35.20 | 50 |
| 2.496 | 35.98 | 58 |
| 1.810 | 50.42 | 16 |
| 1.796 | 50.85 | 16 |
| 1.530 | 60.53 | 12 |

Cell and atoms:
abc: 8.0431 8.0431 8.0431
angles: 73.08 73.08 73.08
Fractional coordinates of all 15 atoms:
Dy1 0.0890 0.0890 0.0890
Dy2 0.1469 0.5679 0.2703
Dy3 0.2703 0.1469 0.5679
Dy4 0.4321 0.7297 0.8531
Dy5 0.5679 0.2703 0.1469
Dy6 0.7297 0.8531 0.4321
Dy7 0.8531 0.4321 0.7297
Dy8 0.9110 0.9110 0.9110
Tm1 0.1154 0.7861 0.5627
Tm2 0.2139 0.4373 0.8846
Tm3 0.4373 0.8846 0.2139
Tm4 0.5627 0.1154 0.7861
Tm5 0.7861 0.5627 0.1154
Tm6 0.8846 0.2139 0.4373
Sc1 0.5000 0.5000 0.5000

***

# 8
This entry pairs a crystal structure of Dy6Tm8Sc with its simulated XRD peak list. Radiation: Cu Kα (λ = 1.5418 Å). Structure: a cell relaxed with PBE.

Most intense lines, 5 to 70 degrees two-theta, low angle first:
| d (Å) | 2θ/deg | I (rel.) |
| --- | --- | --- |
| 3.169 | 28.16 | 24 |
| 2.841 | 31.49 | 24 |
| 2.768 | 32.35 | 100 |
| 2.152 | 41.98 | 3 |
| 2.115 | 42.75 | 17 |
| 1.830 | 49.84 | 18 |
| 1.626 | 56.62 | 19 |
| 1.538 | 60.15 | 18 |
| 1.526 | 60.67 | 15 |
| 1.384 | 67.71 | 4 |

Cell and atoms:
abc: 9.6819 9.6819 5.6815
angles: 90.00 90.00 120.00
Fractional coordinates of all 15 atoms:
Dy1 0.0920 0.6234 0.2380
Dy2 0.3766 0.4686 0.2380
Dy3 0.4686 0.0920 0.7620
Dy4 0.5314 0.9080 0.2380
Dy5 0.6234 0.5314 0.7620
Dy6 0.9080 0.3766 0.7620
Tm1 0.0513 0.7813 0.7299
Tm2 0.2187 0.2700 0.7299
Tm3 0.2700 0.0513 0.2701
Tm4 0.3333 0.6667 0.7315
Tm5 0.6667 0.3333 0.2685
Tm6 0.7300 0.9487 0.7299
Tm7 0.7813 0.7300 0.2701
Tm8 0.9487 0.2187 0.2701
Sc1 0.0000 0.0000 0.0000

***

# 9
This entry pairs a crystal structure of Dy6Tm12Sc with its simulated XRD peak list. Radiation: Cu Kα (λ = 1.5418 Å). Structure: a cell relaxed with PBE.

Most intense lines, 5 to 70 degrees two-theta, low angle first:
| d (Å) | 2θ/deg | I (rel.) |
| --- | --- | --- |
| 3.494 | 25.49 | 17 |
| 2.998 | 29.81 | 36 |
| 2.774 | 32.27 | 100 |
| 2.728 | 32.83 | 88 |
| 2.719 | 32.94 | 16 |
| 2.549 | 35.20 | 43 |
| 2.513 | 35.73 | 17 |
| 1.813 | 50.34 | 16 |
| 1.614 | 57.05 | 17 |
| 1.583 | 58.27 | 27 |

Cell and atoms:
abc: 8.5323 8.5323 8.5323
angles: 98.36 98.36 98.36
Fractional coordinates of all 19 atoms:
Dy1 0.1613 0.5962 0.5962
Dy2 0.4038 0.4038 0.8387
Dy3 0.4038 0.8387 0.4038
Dy4 0.5962 0.1613 0.5962
Dy5 0.5962 0.5962 0.1613
Dy6 0.8387 0.4038 0.4038
Tm1 0.0000 0.2571 0.7429
Tm2 0.0000 0.7429 0.2571
Tm3 0.1460 0.1460 0.4168
Tm4 0.1460 0.4168 0.1460
Tm5 0.2571 0.0000 0.7429
Tm6 0.2571 0.7429 0.0000
Tm7 0.4168 0.1460 0.1460
Tm8 0.5832 0.8540 0.8540
Tm9 0.7429 0.0000 0.2571
Tm10 0.7429 0.2571 0.0000
Tm11 0.8540 0.5832 0.8540
Tm12 0.8540 0.8540 0.5832
Sc1 0.5000 0.5000 0.5000

***

# 10
This entry pairs a crystal structure of DyTm12Sc5 with its simulated XRD peak list. Radiation: Cu Kα (λ = 1.5418 Å). Structure: a cell relaxed with PBE.

Most intense lines, 5 to 70 degrees two-theta, low angle first:
| d (Å) | 2θ/deg | I (rel.) |
| --- | --- | --- |
| 8.302 | 10.66 | 35 |
| 2.861 | 31.26 | 100 |
| 2.767 | 32.35 | 50 |
| 2.754 | 32.51 | 27 |
| 2.693 | 33.27 | 37 |
| 2.562 | 35.03 | 44 |
| 2.356 | 38.20 | 50 |
| 1.753 | 52.16 | 27 |
| 1.725 | 53.10 | 37 |
| 1.464 | 63.57 | 45 |

Cell and atoms:
abc: 5.9747 5.9747 16.7242
angles: 93.42 93.42 120.01
Fractional coordinates of all 18 atoms:
Dy1 0.0000 0.0000 0.0000
Tm1 0.0562 0.7211 0.1671
Tm2 0.1136 0.4469 0.3385
Tm3 0.2198 0.2198 0.6615
Tm4 0.2789 0.9438 0.8329
Tm5 0.3913 0.3913 0.1671
Tm6 0.4469 0.1136 0.3385
Tm7 0.5531 0.8864 0.6615
Tm8 0.6087 0.6087 0.8329
Tm9 0.7211 0.0562 0.1671
Tm10 0.7802 0.7802 0.3385
Tm11 0.8864 0.5531 0.6615
Tm12 0.9438 0.2789 0.8329
Sc1 0.1667 0.8333 0.5000
Sc2 0.3333 0.6667 0.0000
Sc3 0.5000 0.5000 0.5000
Sc4 0.6667 0.3333 0.0000
Sc5 0.8333 0.1667 0.5000

***

# 11
This entry pairs a crystal structure of Dy5Tm3Sc2 with its simulated XRD peak list. Radiation: Cu Kα (λ = 1.5418 Å). Structure: a cell relaxed with PBE.

Most intense lines, 5 to 70 degrees two-theta, low angle first:
| d (Å) | 2θ/deg | I (rel.) |
| --- | --- | --- |
| 7.316 | 12.10 | 4 |
| 5.479 | 16.18 | 2 |
| 4.386 | 20.24 | 7 |
| 4.148 | 21.42 | 2 |
| 2.832 | 31.59 | 100 |
| 2.452 | 36.64 | 50 |
| 1.734 | 52.79 | 35 |
| 1.479 | 62.82 | 31 |
| 1.478 | 62.90 | 10 |
| 1.416 | 65.98 | 12 |

Cell and atoms:
abc: 9.1718 9.1761 9.1764
angles: 106.69 106.57 115.29
Fractional coordinates of all 20 atoms:
Dy1 0.0746 0.2270 0.0511
Dy2 0.1282 0.3776 0.7505
Dy3 0.1776 0.5256 0.4527
Dy4 0.3245 0.9770 0.5517
Dy5 0.3776 0.1279 0.2497
Dy6 0.6224 0.8721 0.7503
Dy7 0.6755 0.0230 0.4483
Dy8 0.8224 0.4744 0.5473
Dy9 0.8718 0.6224 0.2495
Dy10 0.9254 0.7730 0.9489
Tm1 0.0250 0.0769 0.3494
Tm2 0.2282 0.6761 0.1500
Tm3 0.4270 0.2755 0.9526
Tm4 0.5730 0.7245 0.0474
Tm5 0.7718 0.3239 0.8500
Tm6 0.9750 0.9231 0.6506
Sc1 0.2783 0.8282 0.8519
Sc2 0.4762 0.4258 0.6496
Sc3 0.5238 0.5742 0.3504
Sc4 0.7217 0.1718 0.1481